The following is a simulated PXRD pattern of V2CoO6. It was derived from DFT lattice parameters and positions (GGA+U), using Cu Ka.
Kinematic intensities with the Lorentz-polarization factor, no thermal factor.

Largest 6 diffraction maxima, sorted by position, 10 to 90 degrees two-theta:
20.3°, rel. 53, (2 0 -2); 25.9°, rel. 100, (2 0 2); 26.6°, rel. 44, (1 1 0); 28.7°, rel. 83, (2 0 -4); 30.9°, rel. 95, (1 1 2); 50.9°, rel. 32, (0 2 0)

Crystal structure
a = 9.620 Å, b = 3.585 Å, c = 13.823 Å
α = 90.00°, β = 104.44°, γ = 90.00°
Space group C2/m (No. 12)
Inequivalent atoms, fractional coordinates:
V 0.224 0.000 0.339 x4
V 0.225 0.000 0.840 x4
Co 0.000 0.000 0.000 x2
Co 0.000 0.000 0.500 x2
O 0.071 0.000 0.878 x4
O 0.072 0.000 0.378 x4
O 0.133 0.500 0.558 x4
O 0.134 0.500 0.057 x4
O 0.224 0.500 0.296 x4
O 0.225 0.500 0.797 x4


The following is a simulated PXRD pattern of V2CoO6. It was derived from DFT lattice parameters and positions (GGA+U), using Cu Ka.
Kinematic intensities with the Lorentz-polarization factor, no thermal factor.

Largest 6 diffraction maxima, sorted by position, 10 to 90 degrees two-theta:
27.2°, rel. 77, (1 1 0); 28.3°, rel. 85, (2 0 -2); 28.8°, rel. 100, (2 0 1); 32.5°, rel. 75, (1 1 1); 38.5°, rel. 39, (3 1 -1); 51.6°, rel. 37, (0 2 0)

Crystal structure
a = 9.413 Å, b = 3.540 Å, c = 6.732 Å
α = 90.00°, β = 111.28°, γ = 90.00°
Space group C2 (No. 5)
Inequivalent atoms, fractional coordinates:
V 0.194 0.000 0.156 x4
Co 0.000 0.013 0.500 x2
O 0.036 0.000 0.225 x4
O 0.153 0.497 0.611 x4
O 0.193 0.500 0.065 x4


The following is a simulated PXRD pattern of V2CoO6. It was derived from DFT lattice parameters and positions (GGA+U), using Cu Ka.
Kinematic intensities with the Lorentz-polarization factor, no thermal factor.

Largest 6 diffraction maxima, sorted by position, 10 to 90 degrees two-theta:
12.4°, rel. 49, (2 0 0); 13.3°, rel. 100, (0 0 1); 24.9°, rel. 19, (1 1 0); 25.0°, rel. 25, (4 0 0); 26.6°, rel. 26, (2 0 -2); 27.5°, rel. 69, (1 1 -1)

Crystal structure
a = 14.691 Å, b = 3.701 Å, c = 6.867 Å
α = 90.00°, β = 104.39°, γ = 90.00°
Space group C2/m (No. 12)
Inequivalent atoms, fractional coordinates:
V 0.223 0.000 0.158 x4
Co 0.000 0.000 0.000 x2
O 0.105 0.000 0.191 x4
O 0.200 0.500 0.628 x4
O 0.218 0.500 0.072 x4


The following is a simulated PXRD pattern of V5CoO23. It was derived from DFT lattice parameters and positions (GGA+U), using Cu Ka.
Kinematic intensities with the Lorentz-polarization factor, no thermal factor.

Largest 6 diffraction maxima, sorted by position, 10 to 90 degrees two-theta:
10.7°, rel. 100, (1 0 0); 12.0°, rel. 78, (1 1 1); 18.2°, rel. 37, (0 0 2); 21.5°, rel. 31, (2 0 0); 24.2°, rel. 27, (2 2 2); 27.4°, rel. 23, (0 0 3)

Crystal structure
a = 8.858 Å, b = 10.675 Å, c = 10.809 Å
α = 66.19°, β = 74.51°, γ = 70.50°
Space group P-1 (No. 2)
Inequivalent atoms, fractional coordinates:
V 0.119 0.200 0.053 x2
V 0.139 0.269 0.317 x2
V 0.151 0.451 0.749 x2
V 0.177 0.505 0.022 x2
V 0.201 0.746 0.727 x2
Co 0.278 0.743 0.281 x2
O 0.009 0.438 0.350 x2
O 0.015 0.647 0.094 x2
O 0.018 0.587 0.880 x2
O 0.041 0.804 0.622 x2
O 0.063 0.848 0.840 x2
O 0.113 0.663 0.364 x2
O 0.142 0.872 0.348 x2
O 0.177 0.777 0.141 x2
O 0.215 0.073 0.991 x2
O 0.216 0.164 0.194 x2
O 0.230 0.361 0.938 x2
O 0.241 0.110 0.739 x2
O 0.250 0.186 0.436 x2
O 0.259 0.330 0.674 x2
O 0.266 0.401 0.166 x2
O 0.274 0.570 0.688 x2
O 0.292 0.614 0.903 x2
O 0.334 0.833 0.635 x2
O 0.382 0.694 0.416 x2
O 0.396 0.046 0.731 x2
O 0.401 0.623 0.192 x2
O 0.431 0.917 0.804 x2
O 0.438 0.823 0.184 x2


The following is a simulated PXRD pattern of VCoO3. It was derived from DFT lattice parameters and positions (GGA+U), using Cu Ka.
Kinematic intensities with the Lorentz-polarization factor, no thermal factor.

Largest 6 diffraction maxima, sorted by position, 10 to 90 degrees two-theta:
32.5°, rel. 100, (1 0 1); 32.7°, rel. 91, (-1 1 1); 33.2°, rel. 81, (0 1 -2); 35.1°, rel. 82, (1 1 -1); 35.5°, rel. 67, (1 -2 1); 36.0°, rel. 63, (2 -1 0)

Crystal structure
a = 4.989 Å, b = 5.060 Å, c = 5.433 Å
α = 116.56°, β = 90.42°, γ = 118.81°
Space group P1 (No. 1)
Inequivalent atoms, fractional coordinates:
V 0.000 0.000 0.000 x1
V 0.299 0.585 0.896 x1
Co 0.517 0.017 0.516 x1
Co 0.801 0.594 0.398 x1
O 0.069 0.458 0.176 x1
O 0.214 0.142 0.715 x1
O 0.362 0.068 0.172 x1
O 0.597 0.789 0.706 x1
O 0.706 0.802 0.192 x1
O 0.921 0.512 0.697 x1


The following is a simulated PXRD pattern of V2CoO6. It was derived from DFT lattice parameters and positions (GGA+U), using Cu Ka.
Kinematic intensities with the Lorentz-polarization factor, no thermal factor.

Largest 6 diffraction maxima, sorted by position, 10 to 90 degrees two-theta:
22.9°, rel. 62, (1 1 0); 30.0°, rel. 100, (1 -2 0); 35.4°, rel. 37, (0 2 -3); 35.6°, rel. 78, (0 1 3); 57.0°, rel. 27, (-1 3 3); 65.4°, rel. 31, (3 0 -3)

Crystal structure
a = 4.874 Å, b = 7.293 Å, c = 8.975 Å
α = 102.11°, β = 90.04°, γ = 94.23°
Space group P-1 (No. 2)
Inequivalent atoms, fractional coordinates:
V 0.044 0.288 0.033 x2
V 0.047 0.288 0.392 x2
V 0.384 0.419 0.737 x2
Co 0.492 0.988 0.834 x2
Co 0.500 0.000 0.500 x1
O 0.137 0.787 0.800 x2
O 0.160 0.831 0.107 x2
O 0.161 0.833 0.511 x2
O 0.203 0.473 0.578 x2
O 0.203 0.476 0.914 x2
O 0.291 0.471 0.246 x2
O 0.327 0.151 0.359 x2
O 0.328 0.154 0.019 x2
O 0.396 0.179 0.699 x2


The following is a simulated PXRD pattern of VCoO3. It was derived from DFT lattice parameters and positions (GGA+U), using Cu Ka.
Kinematic intensities with the Lorentz-polarization factor, no thermal factor.

Largest 6 diffraction maxima, sorted by position, 10 to 90 degrees two-theta:
24.1°, rel. 73, (1 1 1); 32.4°, rel. 97, (1 0 1); 32.7°, rel. 95, (0 1 2); 32.8°, rel. 100, (1 1 -1); 34.8°, rel. 81, (-1 1 1); 35.1°, rel. 77, (1 2 1)

Crystal structure
a = 4.995 Å, b = 5.116 Å, c = 5.503 Å
α = 62.31°, β = 89.79°, γ = 61.35°
Space group P1 (No. 1)
Inequivalent atoms, fractional coordinates:
V 0.000 0.000 0.000 x1
V 0.296 0.418 0.908 x1
Co 0.501 0.996 0.526 x1
Co 0.798 0.423 0.381 x1
O 0.111 0.199 0.192 x1
O 0.186 0.220 0.716 x1
O 0.379 0.536 0.192 x1
O 0.576 0.500 0.721 x1
O 0.720 0.918 0.189 x1
O 0.918 0.881 0.718 x1


The following is a simulated PXRD pattern of V2CoO6. It was derived from DFT lattice parameters and positions (GGA+U), using Cu Ka.
Kinematic intensities with the Lorentz-polarization factor, no thermal factor.

Largest 6 diffraction maxima, sorted by position, 10 to 90 degrees two-theta:
19.5°, rel. 57, (0 1 0); 21.1°, rel. 42, (0 0 2); 21.3°, rel. 100, (1 0 -1); 32.3°, rel. 70, (0 1 -2); 33.2°, rel. 65, (-1 1 1); 34.0°, rel. 57, (1 2 1)

Crystal structure
a = 5.151 Å, b = 5.306 Å, c = 8.709 Å
α = 76.39°, β = 88.43°, γ = 62.65°
Space group P1 (No. 1)
Inequivalent atoms, fractional coordinates:
V 0.000 0.000 0.000 x1
V 0.238 0.494 0.755 x1
V 0.501 0.000 0.500 x1
V 0.739 0.494 0.256 x1
Co 0.333 0.350 0.117 x1
Co 0.834 0.348 0.618 x1
O 0.217 0.179 0.960 x1
O 0.249 0.171 0.336 x1
O 0.261 0.662 0.909 x1
O 0.285 0.178 0.646 x1
O 0.373 0.677 0.200 x1
O 0.382 0.660 0.606 x1
O 0.717 0.179 0.460 x1
O 0.748 0.173 0.836 x1
O 0.762 0.660 0.410 x1
O 0.785 0.178 0.147 x1
O 0.871 0.677 0.700 x1
O 0.884 0.659 0.107 x1